Computed X-ray diffraction stick pattern of Pr2Er5Bi3C2 for Cu Kα (λ = 1.5418 Å), from a cell relaxed with GGA-PBE.

Top 10 peaks for 10° ≤ 2θ ≤ 80°, by angle:
- 26.9°, 3.310 Å, rel. 12
- 29.4°, 3.038 Å, rel. 34
- 33.2°, 2.701 Å, rel. 100
- 33.9°, 2.641 Å, rel. 18
- 37.2°, 2.419 Å, rel. 50
- 51.2°, 1.784 Å, rel. 22
- 53.6°, 1.711 Å, rel. 18
- 62.5°, 1.487 Å, rel. 16
- 64.5°, 1.445 Å, rel. 30
- 64.9°, 1.436 Å, rel. 11

Structure:
abc: 13.643 13.643 13.643
angles: 159.57 159.57 29.05
Element x y z (fractional)
Pr1 0.194 0.194 0.000
Pr2 0.806 0.806 0.000
Er1 0.000 0.000 0.000
Er2 0.092 0.592 0.500
Er3 0.408 0.908 0.500
Er4 0.592 0.092 0.500
Er5 0.908 0.408 0.500
Bi1 0.322 0.322 0.000
Bi2 0.500 0.500 0.000
Bi3 0.678 0.678 0.000
C1 0.091 0.091 0.000
C2 0.909 0.909 0.000


Computed X-ray diffraction stick pattern of Ba5In4 for Cu Kα (λ = 1.5418 Å), from a cell relaxed with GGA-PBE.

Top 10 peaks for 10° ≤ 2θ ≤ 80°, by angle:
- 25.1°, 3.550 Å, rel. 38
- 26.4°, 3.377 Å, rel. 19
- 26.9°, 3.310 Å, rel. 55
- 28.3°, 3.158 Å, rel. 100
- 30.4°, 2.942 Å, rel. 53
- 31.4°, 2.845 Å, rel. 15
- 33.5°, 2.673 Å, rel. 14
- 38.2°, 2.358 Å, rel. 14
- 49.5°, 1.841 Å, rel. 16
- 52.7°, 1.737 Å, rel. 17

Structure:
abc: 6.339 6.339 12.020
angles: 106.63 106.63 55.30
Element x y z (fractional)
Ba1 0.000 0.000 0.000
Ba2 0.107 0.107 0.400
Ba3 0.269 0.269 0.810
Ba4 0.731 0.731 0.190
Ba5 0.893 0.893 0.600
In1 0.389 0.389 0.130
In2 0.411 0.411 0.379
In3 0.589 0.589 0.621
In4 0.611 0.611 0.870


Computed X-ray diffraction stick pattern of Mg9CuO10 for Cu Kα (λ = 1.5418 Å), from a cell relaxed with GGA-PBE.

Top 10 peaks for 10° ≤ 2θ ≤ 80°, by angle:
- 13.8°, 6.404 Å, rel. 7
- 14.9°, 5.945 Å, rel. 6
- 18.1°, 4.902 Å, rel. 7
- 36.6°, 2.458 Å, rel. 27
- 42.4°, 2.132 Å, rel. 100
- 42.6°, 2.122 Å, rel. 49
- 61.5°, 1.508 Å, rel. 28
- 61.7°, 1.504 Å, rel. 56
- 73.7°, 1.285 Å, rel. 10
- 77.7°, 1.229 Å, rel. 25

Structure:
abc: 6.714 6.714 9.992
angles: 101.53 101.53 25.96
Element x y z (fractional)
Mg1 0.000 0.000 0.000
Mg2 0.099 0.099 0.301
Mg3 0.197 0.197 0.600
Mg4 0.300 0.300 0.899
Mg5 0.400 0.400 0.198
Mg6 0.600 0.600 0.802
Mg7 0.700 0.700 0.101
Mg8 0.803 0.803 0.400
Mg9 0.901 0.901 0.699
Cu1 0.500 0.500 0.500
O1 0.051 0.051 0.656
O2 0.150 0.150 0.951
O3 0.250 0.250 0.250
O4 0.349 0.349 0.550
O5 0.450 0.450 0.850
O6 0.550 0.550 0.150
O7 0.651 0.651 0.450
O8 0.750 0.750 0.750
O9 0.850 0.850 0.049
O10 0.949 0.949 0.344


Computed X-ray diffraction stick pattern of Sr3GeC2N6 for Cu Kα (λ = 1.5418 Å), from a cell relaxed with GGA-PBE.

Top 10 peaks for 10° ≤ 2θ ≤ 80°, by angle:
- 13.3°, 6.643 Å, rel. 19
- 23.4°, 3.807 Å, rel. 41
- 33.2°, 2.702 Å, rel. 100
- 33.4°, 2.682 Å, rel. 92
- 41.2°, 2.192 Å, rel. 34
- 47.8°, 1.903 Å, rel. 50
- 59.6°, 1.552 Å, rel. 32
- 59.7°, 1.548 Å, rel. 16
- 70.2°, 1.341 Å, rel. 15
- 79.9°, 1.201 Å, rel. 16

Structure:
abc: 5.363 5.363 6.643
angles: 90.00 90.00 120.00
Element x y z (fractional)
Sr1 0.000 0.000 0.000
Sr2 0.333 0.667 0.686
Sr3 0.667 0.333 0.314
Ge1 0.000 0.000 0.500
C1 0.333 0.667 0.294
C2 0.667 0.333 0.706
N1 0.184 0.369 0.289
N2 0.184 0.816 0.289
N3 0.369 0.184 0.711
N4 0.631 0.816 0.289
N5 0.816 0.184 0.711
N6 0.816 0.631 0.711


Computed X-ray diffraction stick pattern of C23Xe4 for Cu Kα (λ = 1.5418 Å), from a cell relaxed with GGA-PBE.

Top 10 peaks for 10° ≤ 2θ ≤ 80°, by angle:
- 23.0°, 3.868 Å, rel. 27
- 25.7°, 3.460 Å, rel. 100
- 28.3°, 3.159 Å, rel. 96
- 40.4°, 2.233 Å, rel. 18
- 42.1°, 2.146 Å, rel. 54
- 43.8°, 2.068 Å, rel. 97
- 47.0°, 1.934 Å, rel. 34
- 54.3°, 1.688 Å, rel. 26
- 64.9°, 1.437 Å, rel. 27
- 75.8°, 1.255 Å, rel. 30

Structure:
abc: 7.737 7.737 7.737
angles: 90.00 90.00 90.00
Element x y z (fractional)
C1 0.000 0.149 0.298
C2 0.000 0.149 0.702
C3 0.000 0.250 0.500
C4 0.000 0.750 0.500
C5 0.000 0.851 0.298
C6 0.000 0.851 0.702
C7 0.149 0.298 0.000
C8 0.149 0.702 0.000
C9 0.190 0.190 0.190
C10 0.190 0.190 0.810
C11 0.190 0.810 0.190
C12 0.190 0.810 0.810
C13 0.202 0.351 0.500
C14 0.202 0.649 0.500
C15 0.250 0.500 0.000
C16 0.298 0.000 0.149
C17 0.298 0.000 0.851
C18 0.310 0.310 0.310
C19 0.310 0.310 0.690
C20 0.310 0.690 0.310
C21 0.310 0.690 0.690
C22 0.351 0.500 0.202
C23 0.351 0.500 0.798
C24 0.500 0.000 0.250
C25 0.500 0.000 0.750
C26 0.500 0.202 0.351
C27 0.500 0.202 0.649
C28 0.500 0.798 0.351
C29 0.500 0.798 0.649
C30 0.649 0.500 0.202
C31 0.649 0.500 0.798
C32 0.690 0.310 0.310
C33 0.690 0.310 0.690
C34 0.690 0.690 0.310
C35 0.690 0.690 0.690
C36 0.702 0.000 0.149
C37 0.702 0.000 0.851
C38 0.750 0.500 0.000
C39 0.798 0.351 0.500
C40 0.798 0.649 0.500
C41 0.810 0.190 0.190
C42 0.810 0.190 0.810
C43 0.810 0.810 0.190
C44 0.810 0.810 0.810
C45 0.851 0.298 0.000
C46 0.851 0.702 0.000
Xe1 0.000 0.000 0.000
Xe2 0.000 0.500 0.250
Xe3 0.000 0.500 0.750
Xe4 0.250 0.000 0.500
Xe5 0.500 0.250 0.000
Xe6 0.500 0.500 0.500
Xe7 0.500 0.750 0.000
Xe8 0.750 0.000 0.500


Computed X-ray diffraction stick pattern of YTm2 for Cu Kα (λ = 1.5418 Å), from a cell relaxed with GGA-PBE.

Top 10 peaks for 10° ≤ 2θ ≤ 80°, by angle:
- 11.9°, 7.449 Å, rel. 2
- 12.9°, 6.848 Å, rel. 5
- 31.2°, 2.870 Å, rel. 100
- 36.1°, 2.486 Å, rel. 50
- 52.0°, 1.758 Å, rel. 36
- 61.9°, 1.499 Å, rel. 32
- 62.0°, 1.498 Å, rel. 10
- 65.0°, 1.435 Å, rel. 12
- 76.6°, 1.243 Å, rel. 4
- 76.8°, 1.241 Å, rel. 2

Structure:
abc: 15.306 3.516 7.036
angles: 90.00 103.27 90.00
Element x y z (fractional)
Y1 0.166 0.000 0.084
Y2 0.334 0.500 0.916
Y3 0.666 0.500 0.084
Y4 0.834 0.000 0.916
Tm1 0.000 0.500 0.253
Tm2 0.000 0.500 0.747
Tm3 0.166 0.000 0.582
Tm4 0.334 0.500 0.418
Tm5 0.500 0.000 0.253
Tm6 0.500 0.000 0.747
Tm7 0.666 0.500 0.582
Tm8 0.834 0.000 0.418


Computed X-ray diffraction stick pattern of MgH6Ir3 for Cu Kα (λ = 1.5418 Å), from a cell relaxed with GGA-PBE.

Top 10 peaks for 10° ≤ 2θ ≤ 80°, by angle:
- 12.9°, 6.886 Å, rel. 100
- 19.7°, 4.511 Å, rel. 16
- 35.7°, 2.515 Å, rel. 18
- 36.7°, 2.448 Å, rel. 15
- 38.2°, 2.357 Å, rel. 20
- 39.2°, 2.295 Å, rel. 15
- 39.6°, 2.276 Å, rel. 15
- 40.0°, 2.253 Å, rel. 41
- 40.1°, 2.249 Å, rel. 22
- 43.8°, 2.065 Å, rel. 30

Structure:
abc: 2.894 4.595 7.162
angles: 100.77 101.62 90.01
Element x y z (fractional)
Mg1 0.000 0.000 0.000
H1 0.302 0.337 0.617
H2 0.402 0.724 0.805
H3 0.431 0.247 0.862
H4 0.545 0.666 0.094
H5 0.624 0.254 0.248
H6 0.799 0.746 0.601
Ir1 0.197 0.433 0.396
Ir2 0.333 0.973 0.668
Ir3 0.649 0.884 0.301


Computed X-ray diffraction stick pattern of Rb3Ce3ZrSe8 for Cu Kα (λ = 1.5418 Å), from a cell relaxed with GGA-PBE.

Top 10 peaks for 10° ≤ 2θ ≤ 80°, by angle:
- 10.8°, 8.156 Å, rel. 40
- 28.2°, 3.161 Å, rel. 100
- 35.4°, 2.538 Å, rel. 18
- 38.2°, 2.355 Å, rel. 32
- 42.4°, 2.132 Å, rel. 35
- 51.7°, 1.767 Å, rel. 17
- 58.4°, 1.580 Å, rel. 14
- 63.1°, 1.474 Å, rel. 10
- 69.0°, 1.360 Å, rel. 16
- 74.8°, 1.270 Å, rel. 11

Structure:
abc: 9.526 9.526 9.526
angles: 53.17 53.17 53.17
Element x y z (fractional)
Rb1 0.000 0.500 0.500
Rb2 0.500 0.000 0.500
Rb3 0.500 0.500 0.000
Ce1 0.000 0.000 0.500
Ce2 0.000 0.500 0.000
Ce3 0.500 0.000 0.000
Zr1 0.500 0.500 0.500
Se1 0.234 0.234 0.234
Se2 0.251 0.719 0.719
Se3 0.281 0.281 0.749
Se4 0.281 0.749 0.281
Se5 0.719 0.251 0.719
Se6 0.719 0.719 0.251
Se7 0.749 0.281 0.281
Se8 0.766 0.766 0.766


Computed X-ray diffraction stick pattern of NaNp2NbO8 for Cu Kα (λ = 1.5418 Å), from a cell relaxed with GGA-PBE.

Top 10 peaks for 10° ≤ 2θ ≤ 80°, by angle:
- 17.9°, 4.950 Å, rel. 79
- 25.2°, 3.533 Å, rel. 56
- 25.7°, 3.468 Å, rel. 52
- 31.7°, 2.819 Å, rel. 100
- 36.3°, 2.475 Å, rel. 28
- 36.5°, 2.461 Å, rel. 24
- 45.2°, 2.007 Å, rel. 16
- 48.7°, 1.870 Å, rel. 40
- 49.3°, 1.850 Å, rel. 38
- 62.5°, 1.487 Å, rel. 22

Structure:
abc: 4.950 4.950 6.858
angles: 90.00 90.00 91.07
Element x y z (fractional)
Na1 0.000 0.000 0.000
Np1 0.500 0.500 0.250
Np2 0.500 0.500 0.750
Nb1 0.000 0.000 0.500
O1 0.199 0.199 0.287
O2 0.199 0.199 0.713
O3 0.293 0.707 0.500
O4 0.324 0.676 0.000
O5 0.676 0.324 0.000
O6 0.707 0.293 0.500
O7 0.801 0.801 0.287
O8 0.801 0.801 0.713